Structure and calculated X-ray diffraction stick pattern of TcSnS3 (a crystal structure in Alexandria, relaxed with PBE; Cu Kα (λ = 1.5418 Å)).
Intensities are scaled so that the largest is 100.

Crystal structure
a b c (Å): 4.696 4.696 4.696
angles (deg): 90.00 90.00 90.00
Positions (direct):
Tc 0.000 0.000 0.000
Sn 0.500 0.500 0.500
S 0.000 0.000 0.500
S 0.000 0.500 0.000
S 0.500 0.000 0.000

Peak list (9 most intense, 5 to 70 degrees two-theta, low angle first)
18.90 deg, I 1, (1 0 0)
26.85 deg, I 100, (1 1 0)
33.04 deg, I 16, (1 1 1)
38.34 deg, I 56, (2 0 0)
47.42 deg, I 44, (2 1 1)
55.33 deg, I 38, (2 2 0)
62.55 deg, I 20, (3 1 0)
65.98 deg, I 6, (3 1 1)
69.32 deg, I 13, (2 2 2)